Calculated XRD peak list of ErTh2Rh5 for Cu Kα X-rays, from the PBE geometry in Alexandria.
Lines closer than 0.1° are merged.

Atomic structure:
```
16
Lattice="5.9365 0.0000 0.0000 0.0000 11.6742 0.0000 0.0000 0.0000 4.4726" Properties=species:S:1:pos:R:3 pbc="T T T"
Er 0.0000 0.0000 0.0000
Er 2.9683 5.8371 0.0000
Th 0.8908 4.1157 2.2363
Th 2.0774 9.9528 2.2363
Th 3.8591 1.7214 2.2363
Th 5.0457 7.5585 2.2363
Rh 0.0000 5.8371 0.0000
Rh 0.5910 8.7428 0.0000
Rh 1.0535 1.2687 2.2363
Rh 1.9148 7.1058 2.2363
Rh 2.3773 2.9057 0.0000
Rh 2.9683 0.0000 0.0000
Rh 3.5593 8.7684 0.0000
Rh 4.0217 4.5684 2.2363
Rh 4.8831 10.4055 2.2363
Rh 5.3455 2.9313 0.0000
```

Largest 10 diffraction maxima, in order of falling intensity, 10 to 90 degrees two-theta:
| two_theta | d (Å) | I_rel | (hkl) |
| --- | --- | --- | --- |
| 36.77 | 2.444 | 100.0 | 0 4 1 |
| 37.16 | 2.419 | 73.0 | 2 1 1 |
| 40.33 | 2.236 | 45.4 | 0 0 2 |
| 36.32 | 2.473 | 34.1 | 2 0 1 |
| 38.13 | 2.360 | 20.3 | 2 3 0 |
| 65.85 | 1.418 | 18.6 | 2 5 2 |
| 43.49 | 2.081 | 18.5 | 2 4 0 |
| 49.68 | 1.835 | 17.2 | 2 5 0 |
| 71.22 | 1.324 | 15.4 | 2 1 3 |
| 70.99 | 1.328 | 14.6 | 0 4 3 |